(1)
Simulated powder diffractogram of BaAlCoCuO5 for copper Kα, from a crystal structure in the Materials Project, relaxed with PBE+U.
Intensities are scaled so that the largest is 100.

Main lines, in order of falling intensity (2θ from 5° to 70°):
2θ 32.6, I = 100; 2θ 26.4, I = 42; 2θ 34.1, I = 39; 2θ 60.1, I = 33; 2θ 49.0, I = 31; 2θ 33.0, I = 17; 2θ 48.2, I = 17; 2θ 35.9, I = 15

Crystal structure
```
BaAlCoCuO5
1.0
3.7164 0.0000 0.0000
0.0000 3.7164 0.0000
0.0000 0.0000 8.1313
Ba Al Co Cu O
1 1 1 1 5
Direct
0.0000 0.0000 0.0000
0.0000 0.0000 0.4638
0.5000 0.5000 0.6671
0.5000 0.5000 0.2601
0.0000 0.5000 0.2561
0.0000 0.5000 0.5678
0.5000 0.0000 0.2561
0.5000 0.0000 0.5678
0.5000 0.5000 0.8873
```

(2)
Simulated powder diffractogram of Ba2MnAl2CoF14 for copper Kα, from a crystal structure in the Materials Project, relaxed with PBE+U.
Intensities are scaled so that the largest is 100.

Main lines, in order of falling intensity (2θ from 5° to 70°):
2θ 25.7, I = 100; 2θ 28.3, I = 28; 2θ 27.3, I = 27; 2θ 44.0, I = 26; 2θ 21.9, I = 25; 2θ 30.3, I = 24; 2θ 30.6, I = 23; 2θ 21.7, I = 20

Crystal structure
```
Ba2MnAl2CoF14
1.0
6.9200 -2.6328 0.0000
6.9200 2.6328 0.0000
-0.3816 0.0000 14.6132
Ba Mn Al Co F
4 2 4 2 28
Direct
0.1429 0.2351 0.1204
0.2351 0.1429 0.6204
0.7649 0.8571 0.3796
0.8571 0.7649 0.8796
0.4431 0.5569 0.2500
0.5569 0.4431 0.7500
0.1164 0.1193 0.3756
0.1193 0.1164 0.8756
0.8807 0.8836 0.1244
0.8836 0.8807 0.6244
0.5000 0.5000 0.0000
0.5000 0.5000 0.5000
0.0411 0.6350 0.2179
0.0853 0.9089 0.3422
0.0911 0.9147 0.1578
0.1045 0.7345 0.5240
0.1586 0.5939 0.0476
0.1596 0.6051 0.7002
0.1814 0.3015 0.4121
0.2655 0.8955 0.9760
0.3015 0.1814 0.9121
0.3650 0.9589 0.2821
0.3817 0.4983 0.8756
0.3949 0.8404 0.7998
0.4061 0.8414 0.4524
0.4983 0.3817 0.3756
0.5017 0.6183 0.6244
0.5939 0.1586 0.5476
0.6051 0.1596 0.2002
0.6183 0.5017 0.1244
0.6350 0.0411 0.7179
0.6985 0.8186 0.0879
0.7345 0.1045 0.0240
0.8186 0.6985 0.5879
0.8404 0.3949 0.2998
0.8414 0.4061 0.9524
0.8955 0.2655 0.4760
0.9089 0.0853 0.8422
0.9147 0.0911 0.6578
0.9589 0.3650 0.7821
```

(3)
Simulated powder diffractogram of Ba2AlCo3O8 for copper Kα, from a crystal structure in the Materials Project, relaxed with PBE+U.
Intensities are scaled so that the largest is 100.

Main lines, in order of falling intensity (2θ from 5° to 70°):
2θ 31.7, I = 100; 2θ 33.8, I = 36; 2θ 59.2, I = 32; 2θ 48.5, I = 26; 2θ 6.9, I = 21; 2θ 55.1, I = 20; 2θ 24.7, I = 13; 2θ 34.9, I = 9

Crystal structure
```
Ba2AlCo3O8
1.0
3.7504 0.0000 0.0000
0.0000 3.7504 0.0000
0.0000 0.0000 12.8566
Ba Al Co O
2 1 3 8
Direct
0.0000 0.0000 0.1648
0.0000 0.0000 0.8352
0.0000 0.0000 0.5000
0.5000 0.5000 0.0000
0.5000 0.5000 0.3574
0.5000 0.5000 0.6426
0.0000 0.5000 0.0000
0.0000 0.5000 0.4061
0.0000 0.5000 0.5939
0.5000 0.0000 0.0000
0.5000 0.0000 0.4061
0.5000 0.0000 0.5939
0.5000 0.5000 0.2170
0.5000 0.5000 0.7830
```

(4)
Simulated powder diffractogram of Ba2AlTlCo2O7 for copper Kα, from a crystal structure in the Materials Project, relaxed with PBE+U.
Intensities are scaled so that the largest is 100.

Main lines, in order of falling intensity (2θ from 5° to 70°):
2θ 30.7, I = 100; 2θ 29.9, I = 49; 2θ 26.0, I = 40; 2θ 26.2, I = 39; 2θ 29.1, I = 38; 2θ 31.4, I = 29; 2θ 7.7, I = 28; 2θ 39.4, I = 25

Crystal structure
```
Ba2AlTlCo2O7
1.0
4.0430 0.0000 0.0000
0.0136 4.2671 0.0000
1.7510 0.0808 11.4250
Ba Al Tl Co O
2 1 1 2 7
Direct
0.0000 0.0000 0.0000
0.2148 0.0030 0.5548
0.1112 0.8544 0.2781
0.6082 0.5640 0.7779
0.4722 0.4720 0.1519
0.7416 0.4700 0.3950
0.1067 0.8307 0.7791
0.2716 0.5625 0.3720
0.4098 0.0133 0.1649
0.5329 0.4653 0.9643
0.6867 0.4646 0.5939
0.8050 0.0114 0.3877
0.9376 0.5638 0.1888
```

(5)
Simulated powder diffractogram of Ba2AlTlCo2O7 for copper Kα, from a crystal structure in the Materials Project, relaxed with PBE+U.
Intensities are scaled so that the largest is 100.

Main lines, in order of falling intensity (2θ from 5° to 70°):
2θ 25.9, I = 100; 2θ 30.6, I = 93; 2θ 30.7, I = 61; 2θ 29.9, I = 61; 2θ 29.3, I = 47; 2θ 31.3, I = 36; 2θ 7.8, I = 35; 2θ 41.8, I = 34

Crystal structure
```
Ba2AlTlCo2O7
1.0
4.0189 0.0000 0.0000
0.0023 4.3226 0.0000
1.7731 0.0393 11.4042
Ba Al Tl Co O
2 1 1 2 7
Direct
0.0000 0.0000 0.0000
0.2225 0.0041 0.5565
0.1143 0.8619 0.2786
0.6120 0.5624 0.7784
0.4725 0.4718 0.1568
0.7510 0.4719 0.3959
0.1118 0.8330 0.7787
0.2808 0.5720 0.3702
0.4111 0.0211 0.1661
0.5296 0.4648 0.9644
0.6945 0.4634 0.5939
0.8129 0.0215 0.3893
0.9400 0.5723 0.1894
```

(6)
Simulated powder diffractogram of Ba2AlCr2F11 for copper Kα, from a crystal structure in the Materials Project, relaxed with PBE+U.
Intensities are scaled so that the largest is 100.

Main lines, in order of falling intensity (2θ from 5° to 70°):
2θ 23.0, I = 100; 2θ 26.8, I = 84; 2θ 38.8, I = 81; 2θ 24.6, I = 75; 2θ 28.2, I = 70; 2θ 28.3, I = 66; 2θ 30.2, I = 62; 2θ 48.6, I = 44

Crystal structure
```
Ba2AlCr2F11
1.0
7.4876 0.0000 0.0000
-3.7438 6.4845 0.0000
0.0000 0.0000 14.4105
Ba Al Cr F
6 3 6 33
Direct
0.1445 0.0125 0.0000
0.5073 0.1587 0.4680
0.6514 0.4927 0.8014
0.8413 0.3486 0.1347
0.8679 0.8555 0.3333
0.9875 0.1321 0.6667
0.1734 0.4952 0.8714
0.3218 0.8266 0.2047
0.5048 0.6782 0.5380
0.1201 0.4282 0.3935
0.3080 0.8799 0.7269
0.3383 0.3109 0.2244
0.5718 0.6920 0.0602
0.6891 0.0274 0.8910
0.9726 0.6617 0.5577
0.0041 0.7563 0.6938
0.0433 0.1376 0.1814
0.0549 0.7673 0.1797
0.0669 0.3747 0.9814
0.0943 0.9567 0.5148
0.1320 0.7140 0.8856
0.2088 0.5554 0.2426
0.2327 0.2876 0.8464
0.2437 0.2478 0.3604
0.2659 0.5893 0.7512
0.2860 0.4180 0.5522
0.3077 0.9331 0.3148
0.3234 0.7341 0.0846
0.3466 0.7912 0.5760
0.3670 0.1617 0.6860
0.4056 0.3924 0.0880
0.4107 0.6766 0.4179
0.4272 0.0826 0.1506
0.4446 0.6534 0.9093
0.5321 0.1695 0.9289
0.5820 0.8680 0.2189
0.6076 0.0132 0.7547
0.6253 0.6923 0.6481
0.6374 0.4679 0.2622
0.6554 0.5728 0.4839
0.7124 0.9451 0.5130
0.7522 0.9959 0.0271
0.7948 0.6330 0.0194
0.8305 0.3626 0.5955
0.8383 0.2052 0.3527
0.8624 0.9057 0.8481
0.9174 0.3446 0.8173
0.9868 0.5944 0.4213
```

(7)
Simulated powder diffractogram of Ba2MnAl2CuF14 for copper Kα, from a crystal structure in the Materials Project, relaxed with PBE+U.
Intensities are scaled so that the largest is 100.

Main lines, in order of falling intensity (2θ from 5° to 70°):
2θ 25.6, I = 100; 2θ 28.1, I = 46; 2θ 41.3, I = 35; 2θ 27.3, I = 27; 2θ 21.9, I = 25; 2θ 43.7, I = 25; 2θ 30.4, I = 24; 2θ 30.8, I = 22

Crystal structure
```
Ba2MnAl2CuF14
1.0
6.9613 -2.6313 0.0000
6.9613 2.6313 0.0000
-0.5398 0.0000 14.5416
Ba Mn Al Cu F
4 2 4 2 28
Direct
0.1290 0.2487 0.1212
0.2487 0.1290 0.6212
0.7513 0.8710 0.3788
0.8710 0.7513 0.8788
0.4250 0.5750 0.2500
0.5750 0.4250 0.7500
0.1016 0.1355 0.3741
0.1355 0.1016 0.8741
0.8645 0.8984 0.1259
0.8984 0.8645 0.6259
0.5000 0.5000 0.0000
0.5000 0.5000 0.5000
0.0375 0.6475 0.2198
0.0746 0.9200 0.3441
0.0800 0.9254 0.1559
0.1208 0.7120 0.5247
0.1253 0.6098 0.0473
0.1597 0.3272 0.4041
0.1733 0.5979 0.7040
0.2880 0.8792 0.9753
0.3272 0.1597 0.9041
0.3525 0.9625 0.2802
0.3902 0.8747 0.4527
0.3941 0.4912 0.8792
0.4021 0.8267 0.7960
0.4912 0.3941 0.3792
0.5088 0.6059 0.6208
0.5979 0.1733 0.2040
0.6059 0.5088 0.1208
0.6098 0.1253 0.5473
0.6475 0.0375 0.7198
0.6728 0.8403 0.0959
0.7120 0.1208 0.0247
0.8267 0.4021 0.2960
0.8403 0.6728 0.5959
0.8747 0.3902 0.9527
0.8792 0.2880 0.4753
0.9200 0.0746 0.8441
0.9254 0.0800 0.6559
0.9625 0.3525 0.7802
```

(8)
Simulated powder diffractogram of BaAlFeCuO5 for copper Kα, from a crystal structure in the Materials Project, relaxed with PBE+U.
Intensities are scaled so that the largest is 100.

Main lines, in order of falling intensity (2θ from 5° to 70°):
2θ 32.5, I = 100; 2θ 26.3, I = 42; 2θ 34.0, I = 39; 2θ 59.9, I = 33; 2θ 48.9, I = 32; 2θ 32.9, I = 18; 2θ 10.8, I = 18; 2θ 35.8, I = 18

Crystal structure
```
BaAlFeCuO5
1.0
3.7286 0.0000 0.0000
0.0000 3.7286 0.0000
0.0000 0.0000 8.1567
Ba Al Fe Cu O
1 1 1 1 5
Direct
0.0000 0.0000 0.0000
0.0000 0.0000 0.4472
0.5000 0.5000 0.6630
0.5000 0.5000 0.2521
0.0000 0.5000 0.2680
0.0000 0.5000 0.5730
0.5000 0.0000 0.2680
0.5000 0.0000 0.5730
0.5000 0.5000 0.8923
```